Entry 1:
Computed powder diffractogram
Compound: Cs2CuSiSe4
Radiation: Cu Kα X-rays
Structure: a cell relaxed with PBE
Lines closer than 0.1° are merged.

Top 8 peaks for 2θ from 10° to 90°, by angle:
2θ/deg	I/Imax	h k l
23.6	37	1 3 1
25.0	42	0 2 6
25.7	100	1 3 3
29.6	99	1 3 5
29.8	31	2 0 2
36.4	34	2 0 6
47.2	31	2 0 10
47.6	36	2 6 0

Structural model:
a b c (Å): 6.1931 14.5620 24.5462
angles (deg): 90.00 90.00 90.00
Space group Fddd (No. 70, origin choice 2)
Unique sites:
Cs (0.1250, 0.1250, 0.3033)
Cu (0.1250, 0.1250, 0.1250)
Si (0.1250, 0.1250, 0.6250)
Se (0.1048, 0.2853, 0.8246)



Entry 2:
Computed powder diffractogram
Compound: CePmGeI
Radiation: Cu Kα X-rays
Structure: a cell relaxed with PBE
Lines closer than 0.1° are merged.

Top 8 peaks for 2θ from 10° to 90°, by angle:
2θ/deg	I/Imax	h k l
24.3	20	1 0 1
28.5	38	1 0 4
30.8	100	0 1 5
36.2	20	1 0 7
42.2	51	1 1 0
45.9	18	1 0 10
53.1	21	2 0 5
70.1	19	1 2 5

Structural model:
a b c (Å): 4.2835 4.2835 23.3333
angles (deg): 90.00 90.00 120.00
Space group R3m (No. 160, hexagonal axes)
Unique sites:
Ce (0.0000, 0.0000, 0.0000)
Pm (0.0000, 0.0000, 0.1990)
Ge (0.0000, 0.0000, 0.6011)
I (0.0000, 0.0000, 0.4320)



Entry 3:
Computed powder diffractogram
Compound: ThReC2
Radiation: Cu Kα X-rays
Structure: a cell relaxed with PBE
Lines closer than 0.1° are merged.

Top 8 peaks for 2θ from 10° to 90°, by angle:
2θ/deg	I/Imax	h k l
31.5	98	1 1 0
31.8	100	1 0 2
45.4	42	0 2 2
56.1	18	3 0 0
56.3	40	2 1 2
56.8	20	0 1 4
74.9	16	1 3 2
75.3	17	1 2 4

Structural model:
a b c (Å): 5.6784 5.6784 6.8730
angles (deg): 90.00 90.00 120.00
Space group P3_121 (No. 152)
Unique sites:
Th (0.0000, 0.6547, 0.1667)
Re (0.0000, 0.6327, 0.6667)
C (0.1220, 0.4649, 0.8587)



Entry 4:
Computed powder diffractogram
Compound: Tm4TlSb
Radiation: Cu Kα X-rays
Structure: a cell relaxed with PBE
Lines closer than 0.1° are merged.

Top 8 peaks for 2θ from 10° to 90°, by angle:
2θ/deg	I/Imax	h k l
16.8	34	1 1 0
29.5	32	0 2 2
32.9	86	2 0 0
33.7	100	1 7 0
35.2	67	1 3 2
39.2	35	1 5 2
44.8	21	2 2 2
69.2	27	1 7 4

Structural model:
a b c (Å): 5.4399 21.3288 6.3105
angles (deg): 90.00 90.00 90.00
Space group Cmcm (No. 63)
Unique sites:
Tm (0.0000, 0.0658, 0.2500)
Tm (0.0000, 0.2088, 0.0018)
Tm (0.0000, 0.3630, 0.2500)
Tl (0.0000, 0.0742, 0.7500)
Sb (0.0000, 0.3456, 0.7500)



Entry 5:
Computed powder diffractogram
Compound: Sm3AlB2N6
Radiation: Cu Kα X-rays
Structure: a cell relaxed with PBE
Lines closer than 0.1° are merged.

Top 8 peaks for 2θ from 10° to 90°, by angle:
2θ/deg	I/Imax	h k l
24.2	100	1 0 1
33.6	67	1 1 0
35.5	57	0 1 2
41.8	40	0 2 1
49.6	30	2 0 2
54.7	24	2 1 1
57.3	23	1 1 3
61.3	23	1 2 2

Structural model:
a b c (Å): 5.3395 5.3395 6.0472
angles (deg): 90.00 90.00 120.00
Space group P-3m1 (No. 164)
Unique sites:
Sm (0.0000, 0.0000, 0.0000)
Sm (0.3333, 0.6667, 0.6667)
Al (0.0000, 0.0000, 0.5000)
B (0.3333, 0.6667, 0.2640)
N (0.1767, 0.3534, 0.2930)



Entry 6:
Computed powder diffractogram
Compound: Cs2AcCuF6
Radiation: Cu Kα X-rays
Structure: a cell relaxed with PBE
Lines closer than 0.1° are merged.

Top 8 peaks for 2θ from 10° to 90°, by angle:
2θ/deg	I/Imax	h k l
16.0	29	1 1 -1
24.6	63	0 2 1
27.0	100	2 0 0
34.9	21	0 4 0
35.1	21	0 0 2
44.7	25	2 4 0
44.8	25	2 2 1
49.1	19	4 2 -1

Structural model:
a b c (Å): 8.6496 10.2814 6.6935
angles (deg): 90.00 130.21 90.00
Space group C2/m (No. 12)
Unique sites:
Cs (0.0000, 0.2501, 0.0000)
Ac (0.0000, 0.0000, 0.5000)
Cu (0.0000, 0.5000, 0.5000)
F (0.0000, 0.2313, 0.5000)
F (0.2180, 0.5000, 0.4988)
F (0.2320, 0.0000, 0.9652)



Entry 7:
Computed powder diffractogram
Compound: Na2PrInTe4
Radiation: Cu Kα X-rays
Structure: a cell relaxed with PBE
Lines closer than 0.1° are merged.

Top 8 peaks for 2θ from 10° to 90°, by angle:
2θ/deg	I/Imax	h k l
11.8	22	0 1 1
27.7	53	0 0 4
28.0	100	2 2 0
39.1	18	0 4 0
39.8	77	2 2 4
40.9	18	4 0 0
48.6	20	0 4 4
50.1	23	4 0 4

Structural model:
a b c (Å): 8.8301 9.2115 12.8958
angles (deg): 90.00 90.00 90.00
Space group Imma (No. 74)
Unique sites:
Na (0.0000, 0.0000, 0.0000)
Na (0.2500, 0.2500, 0.2500)
Pr (0.0000, 0.0000, 0.5000)
In (0.2500, 0.2500, 0.7500)
Te (0.0000, 0.0260, 0.7505)
Te (0.2491, 0.2500, 0.5022)



Entry 8:
Computed powder diffractogram
Compound: LiHoNpN3
Radiation: Cu Kα X-rays
Structure: a cell relaxed with PBE
Lines closer than 0.1° are merged.

Top 8 peaks for 2θ from 10° to 90°, by angle:
2θ/deg	I/Imax	h k l
11.2	97	0 0 1
22.5	57	0 0 2
31.8	100	1 1 -1
32.0	40	1 1 1
32.2	41	2 0 1
34.1	33	0 0 3
37.5	50	2 0 -2
37.8	78	1 1 2

Structural model:
a b c (Å): 5.9692 3.4722 7.8919
angles (deg): 90.00 90.89 90.00
Space group P2_1/m (No. 11)
Unique sites:
Li (0.2113, 0.2500, 0.0192)
Ho (0.4278, 0.7500, 0.6913)
Np (0.0759, 0.7500, 0.3226)
N (0.0720, 0.7500, 0.8091)
N (0.2390, 0.2500, 0.5009)
N (0.3692, 0.7500, 0.1889)



Entry 9:
Computed powder diffractogram
Compound: Tm2Tc2P2C
Radiation: Cu Kα X-rays
Structure: a cell relaxed with PBE
Lines closer than 0.1° are merged.

Top 8 peaks for 2θ from 10° to 90°, by angle:
2θ/deg	I/Imax	h k l
29.2	100	1 1 -1
30.4	35	4 0 0
31.2	36	4 0 -1
33.1	97	3 1 0
33.5	82	0 0 2
39.6	56	3 1 1
51.7	40	5 1 -2
60.5	54	7 1 0

Structural model:
a b c (Å): 12.0677 3.7342 5.4922
angles (deg): 90.00 103.10 90.00
Space group C2/m (No. 12)
Unique sites:
Tm (0.1431, 0.0000, 0.2010)
Tc (0.0683, 0.5000, 0.7081)
P (0.1822, 0.0000, 0.7190)
C (0.0000, 0.5000, 0.0000)



Entry 10:
Computed powder diffractogram
Compound: La2Sb4Ir3Au
Radiation: Cu Kα X-rays
Structure: a cell relaxed with PBE
Lines closer than 0.1° are merged.

Top 8 peaks for 2θ from 10° to 90°, by angle:
2θ/deg	I/Imax	h k l
32.0	100	1 1 2
38.4	54	2 0 0
44.2	31	1 1 4
47.7	12	1 0 5
50.9	21	2 1 3
55.5	19	2 2 0
65.5	20	3 1 2
73.5	13	3 1 4

Structural model:
a b c (Å): 4.6830 4.6830 10.4417
angles (deg): 90.00 90.00 90.00
Space group P-4m2 (No. 115)
Unique sites:
La (0.0000, 0.5000, 0.2472)
Sb (0.0000, 0.0000, 0.5000)
Sb (0.0000, 0.5000, 0.8641)
Sb (0.5000, 0.5000, 0.5000)
Ir (0.0000, 0.0000, 0.0000)
Ir (0.0000, 0.5000, 0.6163)
Au (0.5000, 0.5000, 0.0000)



Entry 11:
Computed powder diffractogram
Compound: Na2TiAs2
Radiation: Cu Kα X-rays
Structure: a cell relaxed with PBE
Lines closer than 0.1° are merged.

Top 8 peaks for 2θ from 10° to 90°, by angle:
2θ/deg	I/Imax	h k l
18.5	68	0 0 1
29.5	22	2 1 0
35.1	100	2 1 1
37.5	31	0 0 2
42.2	34	3 1 0
46.5	22	3 1 1
48.5	16	2 1 2
57.7	29	3 1 2

Structural model:
a b c (Å): 6.7684 6.7684 4.7936
angles (deg): 90.00 90.00 90.00
Space group P4/mbm (No. 127)
Unique sites:
Na (0.1681, 0.3319, 0.0000)
Ti (0.0000, 0.0000, 0.5000)
As (0.1381, 0.6381, 0.5000)



Entry 12:
Computed powder diffractogram
Compound: Sm3InGe
Radiation: Cu Kα X-rays
Structure: a cell relaxed with PBE
Lines closer than 0.1° are merged.

Top 8 peaks for 2θ from 10° to 90°, by angle:
2θ/deg	I/Imax	h k l
25.6	33	2 0 0
28.3	40	0 2 4
31.0	99	1 3 1
31.2	87	1 1 5
33.5	100	2 2 2
33.6	76	2 0 4
37.4	63	0 2 6
56.5	41	1 5 5

Structural model:
a b c (Å): 6.9529 9.6943 16.6269
angles (deg): 90.00 90.00 90.00
Space group Fmmm (No. 69)
Unique sites:
Sm (0.0000, 0.0000, 0.1906)
Sm (0.0000, 0.1900, 0.3959)
In (0.2024, 0.0000, 0.0000)
Ge (0.2500, 0.2500, 0.2500)



Entry 13:
Computed powder diffractogram
Compound: Pr3Cu6P5
Radiation: Cu Kα X-rays
Structure: a cell relaxed with PBE
Lines closer than 0.1° are merged.

Top 8 peaks for 2θ from 10° to 90°, by angle:
2θ/deg	I/Imax	h k l
23.8	24	0 3 1
24.3	19	1 0 1
35.2	36	0 3 3
35.5	38	1 0 3
36.7	100	1 3 2
44.9	26	0 6 0
46.0	24	2 0 0
65.7	20	1 3 6

Structural model:
a b c (Å): 3.9438 12.1190 9.8761
angles (deg): 90.00 90.00 90.00
Space group Pmmn (No. 59, origin choice 2)
Unique sites:
Pr (0.2500, 0.0905, 0.2498)
Pr (0.2500, 0.7500, 0.2470)
Cu (0.2500, 0.0665, 0.8978)
Cu (0.2500, 0.2500, 0.0088)
Cu (0.2500, 0.2500, 0.5115)
Cu (0.2500, 0.5799, 0.4940)
P (0.2500, 0.0795, 0.6502)
P (0.2500, 0.6205, 0.9829)
P (0.2500, 0.7500, 0.6253)